Record 1
Starting from DFT lattice parameters and positions (PBE), the X-ray diffraction stick pattern of PaCo4 was calculated for Cu Kα X-rays.
Lines closer than 0.1° are merged.

Largest 12 diffraction maxima, sorted by position, 5° ≤ 2θ ≤ 70°:
2theta  intensity
21.59  35.9
30.72  93.8
37.86  100.0
41.02  33.3
44.00  35.4
46.82  45.0
49.52  44.5
54.62  14.5
57.05  13.6
63.98  25.3
66.19  7.7
68.37  20.2

Structure:
a b c (Å): 8.232 8.232 8.232
angles (deg): 90.00 90.00 90.00
Space group I-43m (No. 217)
Symmetry-distinct sites (fractional):
Pa 0.232 0.232 0.768 x8
Co 0.000 0.000 0.350 x12
Co 0.000 0.250 0.500 x12
Co 0.100 0.100 0.100 x8

Record 2
Starting from DFT lattice parameters and positions (PBE), the X-ray diffraction stick pattern of PaCo6 was calculated for Cu Kα X-rays.
Lines closer than 0.1° are merged.

Largest 12 diffraction maxima, sorted by position, 5° ≤ 2θ ≤ 70°:
2theta  intensity
21.32  20.0
23.79  57.7
29.27  24.5
33.14  27.9
38.03  34.2
38.24  69.4
40.68  82.3
40.79  100.0
42.35  29.7
44.86  31.8
47.73  28.0
55.03  25.2

Structure:
a b c (Å): 7.761 4.733 9.880
angles (deg): 90.00 90.00 90.00
Space group Pnma (No. 62)
Symmetry-distinct sites (fractional):
Pa 0.244 0.250 0.057 x4
Co 0.056 0.750 0.085 x4
Co 0.068 0.008 0.307 x8
Co 0.109 0.250 0.523 x4
Co 0.141 0.750 0.848 x4
Co 0.185 0.250 0.758 x4